Record 1
Diffraction record for Ta6SbOs. The XRD peak list is computed, not measured: it uses a crystal structure in OQMD, relaxed with GGA-PBE and Cu Kα X-rays.
Peak positions follow from Bragg's law for the DFT cell and can differ from measured ones.

Atomic structure:
```
8
Lattice="5.2353 0.0000 0.0000 0.0000 5.2353 0.0000 0.0000 0.0000 5.2353" Properties=species:S:1:pos:R:3 pbc="T T T"
Ta 0.0000 1.3351 2.6177
Ta 0.0000 3.9002 2.6177
Ta 1.3351 2.6177 0.0000
Ta 2.6177 0.0000 1.3351
Ta 2.6177 0.0000 3.9002
Ta 3.9002 2.6177 0.0000
Sb 0.0000 0.0000 0.0000
Os 2.6177 2.6177 2.6177
```

Largest 10 diffraction maxima, low angle first, 2θ = 10–90°:
2theta  I/Imax  hkl
34.26  29.4  2 0 0
38.45  100.0  2 0 1
42.29  65.6  2 1 1
61.34  9.8  2 2 2
64.14  22.4  3 2 0
66.87  34.1  3 2 1
72.17  14.7  4 0 0
82.38  9.6  4 2 0
84.88  21.2  4 1 2
87.37  8.5  3 3 2

Record 2
Diffraction record for Y3Tm3SbTeOs. The XRD peak list is computed, not measured: it uses a crystal structure in OQMD, relaxed with GGA-PBE and Cu Kα X-rays.
Peak positions follow from Bragg's law for the DFT cell and can differ from measured ones.

Atomic structure:
```
9
Lattice="8.1686 0.0000 0.0000 -4.0843 7.0742 0.0000 0.0000 0.0000 4.1458" Properties=species:S:1:pos:R:3 pbc="T T T"
Y -2.4575 5.1181 0.0000
Y 0.8807 2.3869 0.0000
Y 1.5768 6.6434 0.0000
Tm 3.1284 0.6922 2.0729
Tm 3.1195 4.0188 2.0729
Tm 6.0049 2.3632 2.0729
Sb 0.0000 4.7161 2.0729
Te 0.0000 0.0000 2.0729
Os 4.0843 2.3581 0.0000
```

Largest 10 diffraction maxima, low angle first, 2θ = 10–90°:
2theta  I/Imax  hkl
12.51  59.3  1 0 0
30.73  87.0  1 1 1
33.30  98.1  2 0 1
33.52  65.3  2 1 0
38.17  43.0  3 0 0
40.13  100.0  1 2 1
43.67  31.2  0 0 2
56.14  29.8  2 1 2
59.36  23.5  3 0 2
61.34  39.4  3 2 1

Record 3
Diffraction record for Sr2ScOsSe6. The XRD peak list is computed, not measured: it uses a crystal structure in OQMD, relaxed with GGA-PBE and Cu Kα X-rays.
Peak positions follow from Bragg's law for the DFT cell and can differ from measured ones.

Atomic structure:
```
10
Lattice="6.6862 0.0000 0.0000 -0.0183 6.7443 0.0000 -3.2842 -3.3544 5.4819" Properties=species:S:1:pos:R:3 pbc="T T T"
Sr 0.0218 0.0317 2.7362
Sr 3.3619 3.3583 2.7457
Sc 3.3431 0.0000 0.0000
Os -0.0091 3.3722 0.0000
Se -2.2613 -2.2419 5.4433
Se 0.0081 3.3334 2.5957
Se 2.2492 4.4039 0.0255
Se 1.1346 -1.0139 5.4564
Se 3.3756 0.0566 2.8862
Se 5.6450 5.6319 0.0386
```

Largest 10 diffraction maxima, low angle first, 2θ = 10–90°:
2theta  I/Imax  hkl
15.44  61.2  0 1 0
16.17  34.3  0 0 1
26.43  42.6  0 2 -1
26.67  42.7  2 0 -1
30.76  45.8  1 -2 0
32.67  100.0  0 0 2
37.84  34.6  2 -2 0
37.95  34.4  2 2 -2
42.43  42.9  2 0 1
45.64  29.3  1 -3 2

Record 4
Diffraction record for Sc2TcOs3. The XRD peak list is computed, not measured: it uses a crystal structure in OQMD, relaxed with GGA-PBE and Cu Kα X-rays.
Peak positions follow from Bragg's law for the DFT cell and can differ from measured ones.

Atomic structure:
```
6
Lattice="3.1915 0.0000 0.0000 0.0000 3.1915 0.0000 0.0000 0.0000 9.1912" Properties=species:S:1:pos:R:3 pbc="T T T"
Sc 0.0000 0.0000 0.0000
Sc 1.5958 1.5958 4.5945
Tc 0.0000 0.0000 3.0125
Os 0.0000 0.0000 6.1553
Os 1.5958 1.5958 1.5767
Os 1.5958 1.5958 7.6406
```

Largest 10 diffraction maxima, low angle first, 2θ = 10–90°:
2theta  I/Imax  hkl
19.31  22.0  0 0 2
29.63  23.9  1 0 1
39.95  53.4  1 1 0
40.83  100.0  1 0 3
44.74  10.8  1 1 2
57.78  18.1  2 0 0
73.15  35.5  2 1 3
74.93  16.4  1 1 6
86.23  10.5  2 2 0
88.47  11.1  2 0 6